[1]
This entry pairs a crystal structure of Sc6TeO12 with its calculated XRD peak list. Radiation: Cu Kα (λ = 1.5418 Å). Structure: a structure optimized by DFT (PBE).
Neutral-atom scattering factors, no anomalous dispersion.

Atomic structure:
```
data_Sc6TeO12
_chemical_formula_sum 'Sc6 Te1 O12'
_symmetry_space_group_name_H-M 'P 1'
_symmetry_Int_Tables_number 1
_symmetry_space_group_name_Hall 'P 1'
_cell_length_a 7.5898
_cell_length_b 7.7008
_cell_length_c 9.2184
_cell_angle_alpha 96.28
_cell_angle_beta 108.32
_cell_angle_gamma 106.40
loop_
_atom_site_label
_atom_site_type_symbol
_atom_site_fract_x
_atom_site_fract_y
_atom_site_fract_z
_atom_site_occupancy
Sc1 Sc 0.0354 0.3137 0.2844 1
Sc2 Sc 0.1384 0.9759 0.1511 1
Sc3 Sc 0.4601 0.2896 0.4777 1
Sc4 Sc 0.5399 0.7104 0.5223 1
Sc5 Sc 0.8616 0.0241 0.8489 1
Sc6 Sc 0.9646 0.6863 0.7156 1
Te1 Te 0.0000 0.0000 0.5000 1
O1 O 0.0037 0.8345 0.9183 1
O2 O 0.0133 0.9090 0.3000 1
O3 O 0.0950 0.8079 0.5887 1
O4 O 0.2654 0.1729 0.5636 1
O5 O 0.3112 0.4707 0.3890 1
O6 O 0.4000 0.1274 0.2827 1
O7 O 0.6000 0.8726 0.7173 1
O8 O 0.6888 0.5293 0.6110 1
O9 O 0.7346 0.8271 0.4364 1
O10 O 0.9050 0.1921 0.4113 1
O11 O 0.9867 0.0910 0.7000 1
O12 O 0.9963 0.1655 0.0817 1
```

The 10 most intense peaks (2θ = 10–80°), by angle:
Position (°2θ), I_rel
10.36, 100
12.28, 51
13.04, 51
14.62, 55
16.71, 17
23.60, 16
23.74, 22
25.71, 19
26.26, 16
39.82, 17


[2]
This entry pairs a crystal structure of LuSI with its calculated XRD peak list. Radiation: Cu Kα (λ = 1.5418 Å). Structure: a structure optimized by DFT (PBE).
Neutral-atom scattering factors, no anomalous dispersion.

Atomic structure:
```
data_LuSI
_chemical_formula_sum 'Lu1 S1 I1'
_symmetry_space_group_name_H-M 'P 1'
_symmetry_Int_Tables_number 1
_symmetry_space_group_name_Hall 'P 1'
_cell_length_a 4.4431
_cell_length_b 4.4431
_cell_length_c 5.1001
_cell_angle_alpha 90.00
_cell_angle_beta 90.00
_cell_angle_gamma 120.00
loop_
_atom_site_label
_atom_site_type_symbol
_atom_site_fract_x
_atom_site_fract_y
_atom_site_fract_z
_atom_site_occupancy
Lu1 Lu 0.0000 0.0000 0.0000 1
S1 S 0.3333 0.6667 0.0000 1
I1 I 0.6667 0.3333 0.5000 1
```

The 10 most intense peaks (2θ = 10–80°), by angle:
Position (°2θ), I_rel
23.11, 19
29.07, 100
35.19, 16
40.61, 33
42.53, 8
50.71, 21
54.80, 27
59.44, 13
66.90, 19
74.46, 9


[3]
This entry pairs a crystal structure of MgZn2 with its calculated XRD peak list. Radiation: Cu Kα (λ = 1.5418 Å). Structure: a structure optimized by DFT (PBE).
Neutral-atom scattering factors, no anomalous dispersion.

Atomic structure:
```
data_MgZn2
_chemical_formula_sum 'Mg2 Zn4'
_symmetry_space_group_name_H-M 'P 1'
_symmetry_Int_Tables_number 1
_symmetry_space_group_name_Hall 'P 1'
_cell_length_a 4.9728
_cell_length_b 4.9728
_cell_length_c 4.7729
_cell_angle_alpha 90.00
_cell_angle_beta 90.00
_cell_angle_gamma 120.00
loop_
_atom_site_label
_atom_site_type_symbol
_atom_site_fract_x
_atom_site_fract_y
_atom_site_fract_z
_atom_site_occupancy
Mg1 Mg 0.3333 0.6667 0.0000 1
Mg2 Mg 0.6667 0.3333 0.0000 1
Zn1 Zn 0.0000 0.0000 0.0000 1
Zn2 Zn 0.0000 0.3196 0.5000 1
Zn3 Zn 0.3196 0.0000 0.5000 1
Zn4 Zn 0.6804 0.6804 0.5000 1
```

The 10 most intense peaks (2θ = 10–80°), by angle:
Position (°2θ), I_rel
18.59, 12
20.62, 11
36.13, 28
37.69, 28
40.93, 100
53.20, 18
64.96, 15
70.24, 18
77.61, 17
79.70, 12


[4]
This entry pairs a crystal structure of Sm3Np with its calculated XRD peak list. Radiation: Cu Kα (λ = 1.5418 Å). Structure: a structure optimized by DFT (PBE).
Neutral-atom scattering factors, no anomalous dispersion.

Atomic structure:
```
data_Sm3Np
_chemical_formula_sum 'Sm3 Np1'
_symmetry_space_group_name_H-M 'P 1'
_symmetry_Int_Tables_number 1
_symmetry_space_group_name_Hall 'P 1'
_cell_length_a 5.0354
_cell_length_b 5.0354
_cell_length_c 5.0354
_cell_angle_alpha 90.00
_cell_angle_beta 90.00
_cell_angle_gamma 90.00
loop_
_atom_site_label
_atom_site_type_symbol
_atom_site_fract_x
_atom_site_fract_y
_atom_site_fract_z
_atom_site_occupancy
Sm1 Sm 0.0000 0.0000 0.5000 1
Sm2 Sm 0.0000 0.5000 0.0000 1
Sm3 Sm 0.5000 0.0000 0.0000 1
Np1 Np 0.5000 0.5000 0.5000 1
```

The 10 most intense peaks (2θ = 10–80°), by angle:
Position (°2θ), I_rel
17.61, 4
25.01, 3
30.76, 100
35.66, 51
40.04, 2
44.05, 2
51.32, 36
61.03, 43
64.06, 13
75.53, 6


[5]
This entry pairs a crystal structure of Sr with its calculated XRD peak list. Radiation: Cu Kα (λ = 1.5418 Å). Structure: a structure optimized by DFT (PBE).
Neutral-atom scattering factors, no anomalous dispersion.

Atomic structure:
```
data_Sr
_chemical_formula_sum 'Sr3'
_symmetry_space_group_name_H-M 'P 1'
_symmetry_Int_Tables_number 1
_symmetry_space_group_name_Hall 'P 1'
_cell_length_a 10.7282
_cell_length_b 10.7282
_cell_length_c 10.7282
_cell_angle_alpha 22.83
_cell_angle_beta 22.83
_cell_angle_gamma 22.83
loop_
_atom_site_label
_atom_site_type_symbol
_atom_site_fract_x
_atom_site_fract_y
_atom_site_fract_z
_atom_site_occupancy
Sr1 Sr 0.0000 0.0000 0.0000 1
Sr2 Sr 0.2224 0.2224 0.2224 1
Sr3 Sr 0.7776 0.7776 0.7776 1
```

The 10 most intense peaks (2θ = 10–80°), by angle:
Position (°2θ), I_rel
24.37, 36
25.59, 52
26.78, 100
28.14, 87
42.58, 40
44.97, 24
47.56, 20
50.34, 48
51.02, 17
69.88, 18


[6]
This entry pairs a crystal structure of RbCeMg14 with its calculated XRD peak list. Radiation: Cu Kα (λ = 1.5418 Å). Structure: a structure optimized by DFT (PBE).
Neutral-atom scattering factors, no anomalous dispersion.

Atomic structure:
```
data_RbCeMg14
_chemical_formula_sum 'Rb1 Ce1 Mg14'
_symmetry_space_group_name_H-M 'P 1'
_symmetry_Int_Tables_number 1
_symmetry_space_group_name_Hall 'P 1'
_cell_length_a 6.7399
_cell_length_b 6.7399
_cell_length_c 10.5318
_cell_angle_alpha 90.00
_cell_angle_beta 90.00
_cell_angle_gamma 120.00
loop_
_atom_site_label
_atom_site_type_symbol
_atom_site_fract_x
_atom_site_fract_y
_atom_site_fract_z
_atom_site_occupancy
Rb1 Rb 0.0000 0.0000 0.0000 1
Ce1 Ce 0.0000 0.0000 0.5000 1
Mg1 Mg 0.0063 0.5031 0.5000 1
Mg2 Mg 0.0068 0.5034 0.0000 1
Mg3 Mg 0.1747 0.3493 0.2591 1
Mg4 Mg 0.1747 0.3493 0.7409 1
Mg5 Mg 0.1747 0.8253 0.2591 1
Mg6 Mg 0.1747 0.8253 0.7409 1
Mg7 Mg 0.4966 0.5034 0.0000 1
Mg8 Mg 0.4969 0.5031 0.5000 1
Mg9 Mg 0.4966 0.9932 0.0000 1
Mg10 Mg 0.4969 0.9937 0.5000 1
Mg11 Mg 0.6507 0.8253 0.2591 1
Mg12 Mg 0.6507 0.8253 0.7409 1
Mg13 Mg 0.6667 0.3333 0.2543 1
Mg14 Mg 0.6667 0.3333 0.7457 1
```

The 10 most intense peaks (2θ = 10–80°), by angle:
Position (°2θ), I_rel
15.18, 39
22.74, 39
30.63, 30
31.52, 15
34.05, 23
35.16, 100
46.45, 18
54.46, 18
61.66, 18
65.80, 19


[7]
This entry pairs a crystal structure of Ta4Fe4Si7 with its calculated XRD peak list. Radiation: Cu Kα (λ = 1.5418 Å). Structure: a structure optimized by DFT (PBE).
Neutral-atom scattering factors, no anomalous dispersion.

Atomic structure:
```
data_Ta4Fe4Si7
_chemical_formula_sum 'Ta8 Fe8 Si14'
_symmetry_space_group_name_H-M 'P 1'
_symmetry_Int_Tables_number 1
_symmetry_space_group_name_Hall 'P 1'
_cell_length_a 9.2276
_cell_length_b 9.2276
_cell_length_c 9.2276
_cell_angle_alpha 94.22
_cell_angle_beta 94.22
_cell_angle_gamma 148.52
loop_
_atom_site_label
_atom_site_type_symbol
_atom_site_fract_x
_atom_site_fract_y
_atom_site_fract_z
_atom_site_occupancy
Ta1 Ta 0.0000 0.1923 0.1923 1
Ta2 Ta 0.0000 0.8077 0.8077 1
Ta3 Ta 0.1923 0.0000 0.1923 1
Ta4 Ta 0.3647 0.3647 0.7295 1
Ta5 Ta 0.3647 0.6353 0.0000 1
Ta6 Ta 0.6353 0.3647 0.0000 1
Ta7 Ta 0.6353 0.6353 0.2705 1
Ta8 Ta 0.8077 0.0000 0.8077 1
Fe1 Fe 0.1001 0.6001 0.2001 1
Fe2 Fe 0.1001 0.8999 0.5000 1
Fe3 Fe 0.3999 0.6001 0.5000 1
Fe4 Fe 0.3999 0.8999 0.7999 1
Fe5 Fe 0.6001 0.1001 0.2001 1
Fe6 Fe 0.6001 0.3999 0.5000 1
Fe7 Fe 0.8999 0.1001 0.5000 1
Fe8 Fe 0.8999 0.3999 0.7999 1
Si1 Si 0.0000 0.4061 0.4061 1
Si2 Si 0.0000 0.5939 0.5939 1
Si3 Si 0.2022 0.5000 0.7022 1
Si4 Si 0.2090 0.2090 0.4180 1
Si5 Si 0.2090 0.7910 0.0000 1
Si6 Si 0.2507 0.2507 0.0000 1
Si7 Si 0.4061 0.0000 0.4061 1
Si8 Si 0.5000 0.2022 0.7022 1
Si9 Si 0.5000 0.7978 0.2978 1
Si10 Si 0.5939 0.0000 0.5939 1
Si11 Si 0.7493 0.7493 0.0000 1
Si12 Si 0.7910 0.2090 0.0000 1
Si13 Si 0.7910 0.7910 0.5820 1
Si14 Si 0.7978 0.5000 0.2978 1
```

The 10 most intense peaks (2θ = 10–80°), by angle:
Position (°2θ), I_rel
27.78, 20
31.28, 34
34.46, 26
35.87, 15
40.16, 100
40.63, 17
42.69, 42
43.22, 21
67.36, 22
68.08, 21


[8]
This entry pairs a crystal structure of Tc3Sn with its calculated XRD peak list. Radiation: Cu Kα (λ = 1.5418 Å). Structure: a structure optimized by DFT (PBE).
Neutral-atom scattering factors, no anomalous dispersion.

Atomic structure:
```
data_Tc3Sn
_chemical_formula_sum 'Tc3 Sn1'
_symmetry_space_group_name_H-M 'P 1'
_symmetry_Int_Tables_number 1
_symmetry_space_group_name_Hall 'P 1'
_cell_length_a 4.4862
_cell_length_b 4.4862
_cell_length_c 4.4862
_cell_angle_alpha 60.00
_cell_angle_beta 60.00
_cell_angle_gamma 60.00
loop_
_atom_site_label
_atom_site_type_symbol
_atom_site_fract_x
_atom_site_fract_y
_atom_site_fract_z
_atom_site_occupancy
Tc1 Tc 0.0000 0.0000 0.0000 1
Tc2 Tc 0.2500 0.2500 0.2500 1
Tc3 Tc 0.7500 0.7500 0.7500 1
Sn1 Sn 0.5000 0.5000 0.5000 1
```

The 3 most intense peaks (2θ = 10–80°), by angle:
Position (°2θ), I_rel
40.20, 100
58.16, 17
73.07, 34


[9]
This entry pairs a crystal structure of Nd2PdO4 with its calculated XRD peak list. Radiation: Cu Kα (λ = 1.5418 Å). Structure: a structure optimized by DFT (PBE).
Neutral-atom scattering factors, no anomalous dispersion.

Atomic structure:
```
data_Nd2PdO4
_chemical_formula_sum 'Nd2 Pd1 O4'
_symmetry_space_group_name_H-M 'P 1'
_symmetry_Int_Tables_number 1
_symmetry_space_group_name_Hall 'P 1'
_cell_length_a 7.0314
_cell_length_b 7.0314
_cell_length_c 7.0314
_cell_angle_alpha 147.14
_cell_angle_beta 147.14
_cell_angle_gamma 47.16
loop_
_atom_site_label
_atom_site_type_symbol
_atom_site_fract_x
_atom_site_fract_y
_atom_site_fract_z
_atom_site_occupancy
Nd1 Nd 0.1372 0.1372 0.0000 1
Nd2 Nd 0.8628 0.8628 0.0000 1
Pd1 Pd 0.5000 0.5000 0.0000 1
O1 O 0.0000 0.5000 0.5000 1
O2 O 0.3086 0.3086 0.0000 1
O3 O 0.5000 0.0000 0.5000 1
O4 O 0.6914 0.6914 0.0000 1
```

The 10 most intense peaks (2θ = 10–80°), by angle:
Position (°2θ), I_rel
30.63, 100
31.81, 68
41.75, 26
42.67, 15
45.61, 33
53.69, 10
55.94, 38
63.54, 14
66.48, 10
75.59, 11


[10]
This entry pairs a crystal structure of TlCr5Te8 with its calculated XRD peak list. Radiation: Cu Kα (λ = 1.5418 Å). Structure: a structure optimized by DFT (PBE).
Neutral-atom scattering factors, no anomalous dispersion.

Atomic structure:
```
data_TlCr5Te8
_chemical_formula_sum 'Tl1 Cr5 Te8'
_symmetry_space_group_name_H-M 'P 1'
_symmetry_Int_Tables_number 1
_symmetry_space_group_name_Hall 'P 1'
_cell_length_a 4.1218
_cell_length_b 9.4764
_cell_length_c 10.3696
_cell_angle_alpha 104.06
_cell_angle_beta 101.27
_cell_angle_gamma 90.24
loop_
_atom_site_label
_atom_site_type_symbol
_atom_site_fract_x
_atom_site_fract_y
_atom_site_fract_z
_atom_site_occupancy
Tl1 Tl 0.0000 0.0000 0.0000 1
Cr1 Cr 0.1839 0.4994 0.3536 1
Cr2 Cr 0.2391 0.8401 0.4422 1
Cr3 Cr 0.5323 0.5109 0.0379 1
Cr4 Cr 0.8213 0.1855 0.6281 1
Cr5 Cr 0.8774 0.5252 0.7171 1
Te1 Te 0.1020 0.6721 0.1748 1
Te2 Te 0.2914 0.3550 0.5583 1
Te3 Te 0.3506 0.0267 0.6917 1
Te4 Te 0.4471 0.6787 0.8549 1
Te5 Te 0.6144 0.3421 0.2170 1
Te6 Te 0.7110 0.0003 0.3796 1
Te7 Te 0.7693 0.6691 0.5117 1
Te8 Te 0.9610 0.3518 0.8978 1
```

The 10 most intense peaks (2θ = 10–80°), by angle:
Position (°2θ), I_rel
28.53, 100
29.22, 84
29.97, 38
30.12, 38
31.13, 35
41.75, 26
43.93, 31
45.72, 23
45.86, 24
54.83, 20


[11]
This entry pairs a crystal structure of LaCeHg2 with its calculated XRD peak list. Radiation: Cu Kα (λ = 1.5418 Å). Structure: a structure optimized by DFT (PBE).
Neutral-atom scattering factors, no anomalous dispersion.

Atomic structure:
```
data_LaCeHg2
_chemical_formula_sum 'La1 Ce1 Hg2'
_symmetry_space_group_name_H-M 'P 1'
_symmetry_Int_Tables_number 1
_symmetry_space_group_name_Hall 'P 1'
_cell_length_a 5.4563
_cell_length_b 5.4563
_cell_length_c 5.4563
_cell_angle_alpha 60.00
_cell_angle_beta 60.00
_cell_angle_gamma 60.00
loop_
_atom_site_label
_atom_site_type_symbol
_atom_site_fract_x
_atom_site_fract_y
_atom_site_fract_z
_atom_site_occupancy
La1 La 0.0000 0.0000 0.0000 1
Ce1 Ce 0.5000 0.5000 0.5000 1
Hg1 Hg 0.2500 0.2500 0.2500 1
Hg2 Hg 0.7500 0.7500 0.7500 1
```

The 9 most intense peaks (2θ = 10–80°), by angle:
Position (°2θ), I_rel
23.05, 4
32.83, 100
40.50, 1
47.11, 18
53.08, 2
58.61, 39
68.83, 12
73.66, 1
78.38, 17


[12]
This entry pairs a crystal structure of CaFe2S4 with its calculated XRD peak list. Radiation: Cu Kα (λ = 1.5418 Å). Structure: a structure optimized by DFT (PBE).
Neutral-atom scattering factors, no anomalous dispersion.

Atomic structure:
```
data_CaFe2S4
_chemical_formula_sum 'Ca2 Fe4 S8'
_symmetry_space_group_name_H-M 'P 1'
_symmetry_Int_Tables_number 1
_symmetry_space_group_name_Hall 'P 1'
_cell_length_a 7.0243
_cell_length_b 7.0243
_cell_length_c 7.0243
_cell_angle_alpha 121.66
_cell_angle_beta 117.77
_cell_angle_gamma 90.53
loop_
_atom_site_label
_atom_site_type_symbol
_atom_site_fract_x
_atom_site_fract_y
_atom_site_fract_z
_atom_site_occupancy
Ca1 Ca 0.0000 0.0000 0.0000 1
Ca2 Ca 0.5000 0.0000 0.5000 1
Fe1 Fe 0.0000 0.5000 0.5000 1
Fe2 Fe 0.5000 0.0000 0.0000 1
Fe3 Fe 0.5000 0.5000 0.0000 1
Fe4 Fe 0.5000 0.5000 0.5000 1
S1 S 0.2634 0.3050 0.5416 1
S2 S 0.2634 0.7218 0.9584 1
S3 S 0.2629 0.7282 0.5347 1
S4 S 0.3065 0.2718 0.0347 1
S5 S 0.6935 0.7282 0.9653 1
S6 S 0.7371 0.2718 0.4653 1
S7 S 0.7366 0.2782 0.0416 1
S8 S 0.7366 0.6950 0.4584 1
```

The 10 most intense peaks (2θ = 10–80°), by angle:
Position (°2θ), I_rel
15.14, 76
15.74, 21
36.06, 100
36.34, 49
46.88, 12
50.27, 17
52.13, 57
53.53, 13
63.60, 14
66.43, 12